Starting from a cell relaxed with GGA+U, the powder X-ray diffraction pattern of Cs2Pa3NiO12 was simulated for a wavelength of 1.5418 Å.
Lines closer than 0.1° are merged.

Largest 10 diffraction maxima, by angle, 2θ from 10° to 90°:
Position (°2θ), I (rel.), hkl
14.7, 42, 0 0 3
23.5, 30, 1 0 4
26.1, 100, 0 2 1
26.7, 81, 1 1 3
27.5, 80, 2 0 2
27.8, 33, 0 1 5
43.6, 26, 0 2 7
45.2, 42, 2 2 0
48.0, 38, 2 0 8
55.0, 28, 2 2 6

Structure:
```
data_Cs2Pa3NiO12
_chemical_formula_sum 'Cs6 Pa9 Ni3 O36'
_space_group_name_H-M_alt 'R -3 m'
_space_group_IT_number 166
_space_group_name_Hall '-R 3 2"'
_cell_length_a 8.0203
_cell_length_b 8.0203
_cell_length_c 18.1081
_cell_angle_alpha 90.00
_cell_angle_beta 90.00
_cell_angle_gamma 120.00
loop_
_atom_site_label
_atom_site_type_symbol
_atom_site_fract_x
_atom_site_fract_y
_atom_site_fract_z
Cs1 Cs 0.0000 0.0000 0.1289
Pa1 Pa 0.0000 0.5000 0.0000
Ni1 Ni 0.0000 0.0000 0.5000
O1 O 0.0808 0.5404 0.3648
O2 O 0.1101 0.2201 0.4424
```